Record 1
# NbPt2
Theoretical powder diffraction line list, λ = 1.5418 Å (Cu Kα). Input: a DFT-relaxed cell (GGA-PBE, the Materials Project).
Neutral-atom scattering factors, no anomalous dispersion.

Structural model:
a b c (Å): 2.8261 4.0125 8.5757
angles (deg): 90.00 90.00 90.00
Space group Immm (No. 71)
Symmetry-distinct sites (fractional):
Nb 0.0000 0.0000 0.0000 x2
Pt 0.0000 0.0000 0.3356 x4

Top 10 peaks for 10 to 80 degrees two-theta, most intense first:
h k l  Position (°2θ)  I/Imax
0 1 3  38.7  100
1 1 0  39.0  98
1 0 3  45.1  97
1 2 3  65.8  42
2 1 3  79.3  38
1 1 6  78.7  25
0 1 1  24.5  14
0 3 3  79.0  13
0 0 6  65.3  11
2 0 0  66.1  10


Record 2
# Na4Bi2C4SO16
Theoretical powder diffraction line list, λ = 1.5418 Å (Cu Kα). Input: a DFT-relaxed cell (GGA-PBE, the Materials Project).
Neutral-atom scattering factors, no anomalous dispersion.

Structural model:
a b c (Å): 14.2936 14.5499 15.4509
angles (deg): 90.00 90.00 90.00
Space group Fddd (No. 70, origin choice 2)
Symmetry-distinct sites (fractional):
Na 0.0767 0.3750 0.3750 x16
Na 0.1250 0.3252 0.1250 x16
Bi 0.0000 0.0000 0.5000 x16
C 0.0254 0.0279 0.7154 x32
S 0.1250 0.1250 0.1250 x8
O 0.0167 0.0894 0.7758 x32
O 0.0298 0.2790 0.8989 x32
O 0.0636 0.0645 0.0708 x32
O 0.0901 0.2853 0.5275 x32

Top 10 peaks for 10 to 80 degrees two-theta, most intense first:
h k l  Position (°2θ)  I/Imax
1 1 1  10.4  100
2 2 2  20.9  66
1 1 3  19.3  55
3 1 1  20.4  39
1 3 1  20.2  37
4 4 0  35.2  26
4 0 4  34.2  26
0 4 4  33.8  24
1 1 5  30.2  23
1 5 1  31.9  23